# 1
# AcHoTaN3
Calculated X-ray diffraction stick pattern, λ = 1.5418 Å (Cu Kα). Input: a crystal structure in Alexandria, relaxed with PBE.
Lines closer than 0.1° are merged.

Structural model:
Cell: 7.134 3.458 9.455 Å, 90.00 94.18 90.00°
Space group P2_1/m (No. 11)
Symmetry-distinct sites (fractional):
Ac1 0.150 0.250 0.205 [2 per cell]
Ho1 0.182 0.250 0.580 [2 per cell]
Ta1 0.398 0.750 0.886 [2 per cell]
N1 0.131 0.750 0.400 [2 per cell]
N2 0.197 0.750 0.744 [2 per cell]
N3 0.441 0.750 0.126 [2 per cell]

Most intense lines, 2θ from 5° to 70°, low angle first:
Position (°2θ)  I_rel  h k l
16.14  433  1 0 1
26.12  617  2 0 -1
27.47  542  0 1 1
30.23  358  1 0 -3
30.35  451  2 0 -2
32.10  1000  0 1 2
32.62  306  2 0 2
36.23  936  2 1 0
41.49  355  1 1 3
45.42  460  2 1 -3



# 2
# Ac2HoTe2N2
Calculated X-ray diffraction stick pattern, λ = 1.5418 Å (Cu Kα). Input: a crystal structure in Alexandria, relaxed with PBE.
Lines closer than 0.1° are merged.

Structural model:
Cell: 4.546 4.546 17.090 Å, 90.00 90.00 90.00°
Space group I4/mmm (No. 139)
Symmetry-distinct sites (fractional):
Ac1 0.000 0.000 0.105 [4 per cell]
Ho1 0.000 0.000 0.500 [2 per cell]
Te1 0.000 0.000 0.318 [4 per cell]
N1 0.000 0.500 0.000 [4 per cell]

Most intense lines, 2θ from 5° to 70°, low angle first:
Position (°2θ)  I_rel  h k l
10.35  108  0 0 2
27.75  795  1 1 0
32.78  1000  1 0 5
34.93  104  1 1 4
39.65  353  2 0 0
52.36  541  2 1 5
57.33  120  2 2 0
61.45  118  1 1 10
64.86  151  3 1 0
67.63  126  3 0 5



# 3
# Ac3Nd5Ho2
Calculated X-ray diffraction stick pattern, λ = 1.5418 Å (Cu Kα). Input: a crystal structure in Alexandria, relaxed with PBE.
Lines closer than 0.1° are merged.

Structural model:
Cell: 9.895 9.897 9.916 Å, 106.70 115.08 106.67°
Space group P-1 (No. 2)
Symmetry-distinct sites (fractional):
Ac1 0.083 0.352 0.034 [2 per cell]
Ac2 0.271 0.952 0.422 [2 per cell]
Ac3 0.322 0.846 0.773 [2 per cell]
Nd1 0.026 0.448 0.675 [2 per cell]
Nd2 0.131 0.254 0.385 [2 per cell]
Nd3 0.226 0.055 0.075 [2 per cell]
Nd4 0.381 0.748 0.126 [2 per cell]
Nd5 0.472 0.545 0.823 [2 per cell]
Ho1 0.175 0.151 0.725 [2 per cell]
Ho2 0.430 0.644 0.478 [2 per cell]

Most intense lines, 2θ from 5° to 70°, low angle first:
Position (°2θ)  I_rel  h k l
29.20  1000  2 1 0
33.72  170  2 -2 2
33.91  339  3 1 -3
48.51  124  1 1 3
48.66  187  -4 2 4
57.50  74  4 -1 2
57.61  73  5 -4 1
57.75  111  4 1 -6
57.84  184  5 2 -3
60.48  64  4 2 0



# 4
# Ac6Nd4Ho
Calculated X-ray diffraction stick pattern, λ = 1.5418 Å (Cu Kα). Input: a crystal structure in Alexandria, relaxed with PBE.
Lines closer than 0.1° are merged.

Structural model:
Cell: 6.125 19.720 7.420 Å, 90.00 90.00 90.00°
Space group Amm2 (No. 38)
Symmetry-distinct sites (fractional):
Ac1 0.000 0.000 0.000 [2 per cell]
Ac2 0.000 0.181 0.807 [4 per cell]
Ac3 0.500 0.000 0.271 [2 per cell]
Ac4 0.500 0.224 0.095 [4 per cell]
Nd1 0.000 0.142 0.327 [4 per cell]
Nd2 0.500 0.085 0.728 [4 per cell]
Ho1 0.000 0.000 0.557 [2 per cell]

Most intense lines, 2θ from 5° to 70°, low angle first:
Position (°2θ)  I_rel  h k l
18.01  97  0 4 0
28.12  142  1 0 2
29.16  366  2 0 0
29.54  1000  1 2 2
30.15  117  0 4 2
30.88  233  1 6 0
42.44  93  2 4 2
51.94  214  3 2 2
54.79  82  1 11 1
58.08  103  2 0 4



Which formula does entry 1 have? AcHoTaN3



What is the formula in the first record? AcHoTaN3